For Ca3Ag8Hg, a GGA-PBE-relaxed structure gives the computed X-ray powder pattern in this record (Cu Kα X-rays).
Lines closer than 0.1° are merged.

Atomic structure:
Cell: 5.7089 5.7089 27.9708 Å, 90.00 90.00 120.00°
Space group R3m (No. 160, hexagonal axes)
Unique sites:
Ca 0.0000 0.0000 0.0000
Ca 0.0000 0.0000 0.1308
Ca 0.0000 0.0000 0.5188
Ag 0.0000 0.0000 0.3202
Ag 0.0000 0.0000 0.8205
Ag 0.0016 0.5008 0.0706
Ag 0.1682 0.3363 0.9031
Hg 0.0000 0.0000 0.6369

Most intense lines, 2θ from 15° to 90°, in order of rising 2θ:
2θ (°)  Rel. int.  h k l
19.04  23  0 1 2
36.92  100  1 1 6
38.63  52  0 0 12
59.49  31  0 3 6
65.39  27  2 2 0
78.60  18  2 2 12